Simulated PXRD pattern
Compound: B4Rh9Pb3
Radiation: a wavelength of 1.5418 Å
Structure: a cell relaxed with GGA-PBE

Structure:
Unit cell a=5.7788 b=5.7788 c=24.3355 alpha=90.00 beta=90.00 gamma=120.00
Space group R32 (No. 155, hexagonal axes)
Inequivalent atoms, fractional coordinates:
B  0.0000  0.0000  0.1680 [6 per cell]
B  0.0000  0.0000  0.2803 [6 per cell]
Rh  0.0000  0.4712  0.0000 [9 per cell]
Rh  0.0042  0.5133  0.4420 [18 per cell]
Pb  0.0000  0.0000  0.0000 [3 per cell]
Pb  0.0000  0.0000  0.4312 [6 per cell]

Main lines, by angle (5° ≤ 2θ ≤ 70°):
d (Å)	I (rel.)
3.489	133
2.855	125
2.704	591
2.489	140
2.451	1000
2.314	153
2.225	400
2.031	853
1.661	120
1.657	170
1.445	303
1.428	164